This entry pairs a crystal structure of RbCo3As5 with its calculated powder diffraction line list. Radiation: CuKα. Structure: a structure optimized by DFT (GGA-PBE).
Neutral-atom scattering factors, no anomalous dispersion.

Most intense lines, 5 to 70 degrees two-theta, most intense first:
index	two_theta	I_rel
0 0 1	10.46	100
2 0 2	46.69	67
1 0 2	29.35	62
1 1 0	35.48	51
0 0 4	42.76	21
1 1 4	56.73	19
1 0 1	22.86	18
2 1 2	59.99	16
1 1 2	41.60	14
1 1 3	48.33	11

```
data_RbCo3As5
_chemical_formula_sum 'Rb1 Co3 As5'
_cell_length_a 5.0595
_cell_length_b 5.0595
_cell_length_c 8.4596
_cell_angle_alpha 90.00
_cell_angle_beta 90.00
_cell_angle_gamma 120.00
_space_group_name_H-M_alt 'P 6/m m m'
_space_group_IT_number 191
_space_group_name_Hall '-P 6 2'
loop_
_atom_site_label
_atom_site_fract_x
_atom_site_fract_y
_atom_site_fract_z
Rb1 0.0000 0.0000 0.0000
Co1 0.0000 0.5000 0.5000
As1 0.0000 0.0000 0.5000
As2 0.3333 0.6667 0.2758
```

=====

This entry pairs a crystal structure of Co2Re5As12 with its calculated powder diffraction line list. Radiation: CuKα. Structure: a structure optimized by DFT (GGA-PBE).
Neutral-atom scattering factors, no anomalous dispersion.

Most intense lines, 5 to 70 degrees two-theta, most intense first:
index	two_theta	I_rel
3 1 1	35.85	100
5 5 0	45.94	65
2 1 1	32.07	63
0 6 0	34.21	58
5 0 1	45.76	57
2 1 0	15.04	57
3 7 1	54.56	50
2 2 1	33.60	49
3 6 1	50.04	46
1 2 0	13.24	39

```
data_Co2Re5As12
_chemical_formula_sum 'Co4 Re10 As24'
_cell_length_a 12.7072
_cell_length_b 15.7244
_cell_length_c 3.1686
_cell_angle_alpha 90.00
_cell_angle_beta 90.00
_cell_angle_gamma 90.00
_space_group_name_H-M_alt 'P n n m'
_space_group_IT_number 58
_space_group_name_Hall '-P 2 2n'
loop_
_atom_site_label
_atom_site_fract_x
_atom_site_fract_y
_atom_site_fract_z
Co1 0.1274 0.1546 0.0000
Re1 0.0000 0.5000 0.5000
Re2 0.0825 0.7616 0.0000
Re3 0.1827 0.8971 0.5000
As1 0.0307 0.9216 0.0000
As2 0.0704 0.2593 0.5000
As3 0.0951 0.5977 0.0000
As4 0.1566 0.4066 0.5000
As5 0.2060 0.0605 0.5000
As6 0.2287 0.7420 0.5000
```

=====

This entry pairs a crystal structure of CoRe2As with its calculated powder diffraction line list. Radiation: CuKα. Structure: a structure optimized by DFT (GGA-PBE).
Neutral-atom scattering factors, no anomalous dispersion.

Most intense lines, 5 to 70 degrees two-theta, most intense first:
index	two_theta	I_rel
2 2 0	41.91	100
1 1 1	25.30	25
4 0 0	60.76	17
3 1 1	49.58	13
3 3 1	66.89	5

```
data_CoRe2As
_chemical_formula_sum 'Co4 Re8 As4'
_cell_length_a 6.0976
_cell_length_b 6.0976
_cell_length_c 6.0976
_cell_angle_alpha 90.00
_cell_angle_beta 90.00
_cell_angle_gamma 90.00
_space_group_name_H-M_alt 'F -4 3 m'
_space_group_IT_number 216
_space_group_name_Hall 'F -4 2 3'
loop_
_atom_site_label
_atom_site_fract_x
_atom_site_fract_y
_atom_site_fract_z
Co1 0.0000 0.0000 0.0000
Re1 0.0000 0.0000 0.5000
Re2 0.2500 0.2500 0.2500
As1 0.2500 0.2500 0.7500
```

=====

This entry pairs a crystal structure of CoAsS with its calculated powder diffraction line list. Radiation: CuKα. Structure: a structure optimized by DFT (GGA-PBE).
Neutral-atom scattering factors, no anomalous dispersion.

Most intense lines, 5 to 70 degrees two-theta, most intense first:
index	two_theta	I_rel
1 1 1	36.18	100
1 2 1	50.28	91
1 1 0	32.27	82
0 1 2	37.77	71
1 0 3	56.19	39
2 0 0	52.67	34
0 1 1	25.10	33
0 0 2	32.16	28
1 1 2	46.20	27
2 1 2	66.61	26

```
data_CoAsS
_chemical_formula_sum 'Co2 As2 S2'
_cell_length_a 3.4758
_cell_length_b 4.6054
_cell_length_c 5.5666
_cell_angle_alpha 90.00
_cell_angle_beta 90.00
_cell_angle_gamma 90.00
_space_group_name_H-M_alt 'P m n 21'
_space_group_IT_number 31
_space_group_name_Hall 'P 2ac -2'
loop_
_atom_site_label
_atom_site_fract_x
_atom_site_fract_y
_atom_site_fract_z
Co1 0.0000 0.2370 0.0000
As1 0.0000 0.4599 0.3745
S1 0.0000 0.0489 0.6279
```

=====

This entry pairs a crystal structure of Co2SbAs with its calculated powder diffraction line list. Radiation: CuKα. Structure: a structure optimized by DFT (GGA-PBE).
Neutral-atom scattering factors, no anomalous dispersion.

Most intense lines, 5 to 70 degrees two-theta, most intense first:
index	two_theta	I_rel
0 1 2	32.88	100
1 2 1	45.26	66
1 0 3	49.11	36
2 0 0	48.92	18
0 3 2	61.50	15
2 2 2	68.87	12
2 1 2	60.24	12
0 2 4	69.09	6
0 1 4	60.47	5
1 0 1	27.70	3

```
data_Co2SbAs
_chemical_formula_sum 'Co4 Sb2 As2'
_cell_length_a 3.7241
_cell_length_b 5.1208
_cell_length_c 6.4177
_cell_angle_alpha 90.00
_cell_angle_beta 90.00
_cell_angle_gamma 90.00
_space_group_name_H-M_alt 'P m n 21'
_space_group_IT_number 31
_space_group_name_Hall 'P 2ac -2'
loop_
_atom_site_label
_atom_site_fract_x
_atom_site_fract_y
_atom_site_fract_z
Co1 0.0000 0.2355 0.0000
Co2 0.0000 0.7622 0.0073
Sb1 0.0000 0.5048 0.6692
As1 0.0000 0.0039 0.3380
```

=====

This entry pairs a crystal structure of Sr2CoSbAs with its calculated powder diffraction line list. Radiation: CuKα. Structure: a structure optimized by DFT (GGA-PBE).
Neutral-atom scattering factors, no anomalous dispersion.

Most intense lines, 5 to 70 degrees two-theta, most intense first:
index	two_theta	I_rel
1 3 1	28.67	100
0 2 3	35.37	34
1 1 2	30.66	33
2 0 0	41.06	33
1 3 2	34.70	27
0 2 0	11.19	25
1 5 0	34.94	22
0 4 2	31.74	21
2 2 3	55.28	18
0 6 1	35.85	18

```
data_Sr2CoSbAs
_chemical_formula_sum 'Sr8 Co4 Sb4 As4'
_cell_length_a 4.3968
_cell_length_b 15.8164
_cell_length_c 8.0388
_cell_angle_alpha 90.00
_cell_angle_beta 90.00
_cell_angle_gamma 90.00
_space_group_name_H-M_alt 'C m c 21'
_space_group_IT_number 36
_space_group_name_Hall 'C 2c -2'
loop_
_atom_site_label
_atom_site_fract_x
_atom_site_fract_y
_atom_site_fract_z
Sr1 0.0000 0.0382 0.0000
Sr2 0.0000 0.2300 0.6553
Co1 0.0000 0.4089 0.8673
Sb1 0.0000 0.4310 0.2022
As1 0.0000 0.1453 0.3120
```

=====

This entry pairs a crystal structure of CoAsSe with its calculated powder diffraction line list. Radiation: CuKα. Structure: a structure optimized by DFT (GGA-PBE).
Neutral-atom scattering factors, no anomalous dispersion.

Most intense lines, 5 to 70 degrees two-theta, most intense first:
index	two_theta	I_rel
3 1 2	52.72	100
1 0 4	34.92	100
2 1 1	35.65	97
2 1 2	38.23	66
1 3 1	50.10	54
0 0 4	31.12	53
1 2 2	37.94	48
0 2 5	50.55	46
0 2 2	34.46	45
1 2 1	35.34	43

```
data_CoAsSe
_chemical_formula_sum 'Co8 As8 Se8'
_cell_length_a 5.7560
_cell_length_b 5.8401
_cell_length_c 11.4857
_cell_angle_alpha 90.00
_cell_angle_beta 90.00
_cell_angle_gamma 90.00
_space_group_name_H-M_alt 'P b c a'
_space_group_IT_number 61
_space_group_name_Hall '-P 2ac 2ab'
loop_
_atom_site_label
_atom_site_fract_x
_atom_site_fract_y
_atom_site_fract_z
Co1 0.0025 0.1749 0.1274
As1 0.1336 0.6849 0.5649
Se1 0.1222 0.0563 0.3197
```

=====

This entry pairs a crystal structure of Tm2Co4As with its calculated powder diffraction line list. Radiation: CuKα. Structure: a structure optimized by DFT (GGA-PBE).
Neutral-atom scattering factors, no anomalous dispersion.

Most intense lines, 5 to 70 degrees two-theta, most intense first:
index	two_theta	I_rel
1 0 1	28.15	100
1 1 0	47.28	55
0 1 4	44.33	48
1 0 0	26.77	28
1 0 3	37.54	27
1 1 4	59.94	25
0 0 4	34.66	21
1 0 5	52.01	15
0 2 1	55.94	15
0 0 3	25.82	14

```
data_Tm2Co4As
_chemical_formula_sum 'Tm2 Co4 As1'
_cell_length_a 3.8448
_cell_length_b 3.8448
_cell_length_c 10.3527
_cell_angle_alpha 90.00
_cell_angle_beta 90.00
_cell_angle_gamma 120.00
_space_group_name_H-M_alt 'P -3 m 1'
_space_group_IT_number 164
_space_group_name_Hall '-P 3 2"'
loop_
_atom_site_label
_atom_site_fract_x
_atom_site_fract_y
_atom_site_fract_z
Tm1 0.3333 0.6667 0.2189
Co1 0.3333 0.6667 0.4584
Co2 0.3333 0.6667 0.9641
As1 0.0000 0.0000 0.5000
```

=====

This entry pairs a crystal structure of CsMg2CuAs2 with its calculated powder diffraction line list. Radiation: CuKα. Structure: a structure optimized by DFT (GGA-PBE).
Neutral-atom scattering factors, no anomalous dispersion.

Most intense lines, 5 to 70 degrees two-theta, most intense first:
index	two_theta	I_rel
1 1 0	29.36	100
1 0 2	28.80	93
1 0 1	22.94	84
1 1 3	42.45	67
2 0 0	42.01	67
1 1 2	35.70	64
1 0 3	36.67	40
0 0 2	19.85	37
2 1 2	51.73	36
0 0 3	29.97	27

```
data_CsMg2CuAs2
_chemical_formula_sum 'Cs1 Mg2 Cu1 As2'
_cell_length_a 4.3018
_cell_length_b 4.3018
_cell_length_c 8.9449
_cell_angle_alpha 90.00
_cell_angle_beta 90.00
_cell_angle_gamma 90.00
_space_group_name_H-M_alt 'P 4 m m'
_space_group_IT_number 99
_space_group_name_Hall 'P 4 -2'
loop_
_atom_site_label
_atom_site_fract_x
_atom_site_fract_y
_atom_site_fract_z
Cs1 0.0000 0.0000 0.0000
Mg1 0.0000 0.5000 0.4010
Cu1 0.5000 0.5000 0.5937
As1 0.0000 0.0000 0.6015
As2 0.5000 0.5000 0.2308
```

=====

This entry pairs a crystal structure of CsMgCu3As2P with its calculated powder diffraction line list. Radiation: CuKα. Structure: a structure optimized by DFT (GGA-PBE).
Neutral-atom scattering factors, no anomalous dispersion.

Most intense lines, 5 to 70 degrees two-theta, most intense first:
index	two_theta	I_rel
1 1 4	47.16	100
1 1 1	32.19	89
0 1 2	27.48	83
1 0 2	28.17	83
0 2 0	43.45	38
2 0 0	45.29	33
0 0 3	25.82	28
1 2 2	52.59	28
2 1 2	53.79	25
2 2 0	64.56	22

```
data_CsMgCu3As2P
_chemical_formula_sum 'Cs1 Mg1 Cu3 As2 P1'
_cell_length_a 4.0047
_cell_length_b 4.1658
_cell_length_c 10.3518
_cell_angle_alpha 90.00
_cell_angle_beta 90.00
_cell_angle_gamma 90.00
_space_group_name_H-M_alt 'P m m 2'
_space_group_IT_number 25
_space_group_name_Hall 'P 2 -2'
loop_
_atom_site_label
_atom_site_fract_x
_atom_site_fract_y
_atom_site_fract_z
Cs1 0.0000 0.0000 0.0000
Mg1 0.5000 0.0000 0.6319
Cu1 0.0000 0.5000 0.3633
Cu2 0.0000 0.5000 0.6312
Cu3 0.5000 0.0000 0.3531
As1 0.5000 0.5000 0.2275
As2 0.5000 0.5000 0.7742
P1 0.0000 0.0000 0.4755
```

=====

This entry pairs a crystal structure of CsNa3Cu2As2 with its calculated powder diffraction line list. Radiation: CuKα. Structure: a structure optimized by DFT (GGA-PBE).
Neutral-atom scattering factors, no anomalous dispersion.

Most intense lines, 5 to 70 degrees two-theta, most intense first:
index	two_theta	I_rel
2 0 -1	29.87	100
1 1 -2	31.74	88
1 1 0	22.84	88
0 0 1	13.82	82
2 1 -1	34.35	78
1 2 1	41.72	68
1 1 -1	23.80	64
1 0 -1	17.01	63
1 1 1	29.51	48
0 2 2	44.02	47

```
data_CsNa3Cu2As2
_chemical_formula_sum 'Cs1 Na3 Cu2 As2'
_cell_length_a 6.0173
_cell_length_b 5.3658
_cell_length_c 6.8156
_cell_angle_alpha 90.00
_cell_angle_beta 109.93
_cell_angle_gamma 90.00
_space_group_name_H-M_alt 'P 1 m 1'
_space_group_IT_number 6
_space_group_name_Hall 'P -2y'
loop_
_atom_site_label
_atom_site_fract_x
_atom_site_fract_y
_atom_site_fract_z
Cs1 0.0000 0.0000 0.0000
Na1 0.3146 0.5000 0.3738
Na2 0.6407 0.0000 0.3243
Na3 0.9524 0.5000 0.5911
Cu1 0.4394 0.2559 0.8389
As1 0.2361 0.0000 0.5522
As2 0.6488 0.5000 0.1318
```

=====

This entry pairs a crystal structure of CsNaCuAs with its calculated powder diffraction line list. Radiation: CuKα. Structure: a structure optimized by DFT (GGA-PBE).
Neutral-atom scattering factors, no anomalous dispersion.

Most intense lines, 5 to 70 degrees two-theta, most intense first:
index	two_theta	I_rel
1 1 3	32.33	100
1 2 0	27.60	37
0 1 3	28.90	33
1 1 1	20.43	29
0 1 1	14.61	29
0 0 2	17.47	27
2 2 0	37.39	26
2 3 3	54.08	26
1 2 2	32.85	19
3 1 3	53.12	18

```
data_CsNaCuAs
_chemical_formula_sum 'Cs4 Na4 Cu4 As4'
_cell_length_a 6.2342
_cell_length_b 7.5598
_cell_length_c 10.1539
_cell_angle_alpha 90.00
_cell_angle_beta 90.00
_cell_angle_gamma 90.00
_space_group_name_H-M_alt 'A m a 2'
_space_group_IT_number 40
_space_group_name_Hall 'A 2 -2a'
loop_
_atom_site_label
_atom_site_fract_x
_atom_site_fract_y
_atom_site_fract_z
Cs1 0.2500 0.1567 0.0000
Na1 0.2500 0.1611 0.6597
Cu1 0.0000 0.0000 0.3187
As1 0.2500 0.2287 0.3449
```

=====

This entry pairs a crystal structure of Cs4Cu2AsP with its calculated powder diffraction line list. Radiation: CuKα. Structure: a structure optimized by DFT (GGA-PBE).
Neutral-atom scattering factors, no anomalous dispersion.

Most intense lines, 5 to 70 degrees two-theta, most intense first:
index	two_theta	I_rel
1 3 1	29.96	100
1 0 2	27.12	63
0 3 1	26.55	48
2 3 3	51.80	37
2 0 2	36.30	30
2 0 0	27.43	26
3 3 1	50.10	23
2 1 1	30.95	21
1 6 2	56.64	16
0 6 0	48.71	13

```
data_Cs4Cu2AsP
_chemical_formula_sum 'Cs8 Cu4 As2 P2'
_cell_length_a 6.5021
_cell_length_b 11.2164
_cell_length_c 7.6221
_cell_angle_alpha 90.00
_cell_angle_beta 90.00
_cell_angle_gamma 90.00
_space_group_name_H-M_alt 'A m m 2'
_space_group_IT_number 38
_space_group_name_Hall 'A 2 -2'
loop_
_atom_site_label
_atom_site_fract_x
_atom_site_fract_y
_atom_site_fract_z
Cs1 0.0000 0.1658 0.0000
Cs2 0.5000 0.1683 0.3139
Cu1 0.2630 0.0000 0.6644
As1 0.0000 0.0000 0.4493
P1 0.5000 0.0000 0.8764
```